1.
# Mg2Ni2O5
Theoretical X-ray powder pattern, Cu Kα. Input: DFT lattice parameters and positions (GGA+U).
Peak positions follow from Bragg's law for the DFT cell and can differ from measured ones.

Structural model:
Cell lengths 4.926, 10.297, 3.731 Å; angles 90.00, 90.00, 90.00 degrees
Positions (direct):
Mg1 0.247 0.097 0.000
Mg2 0.253 0.597 0.000
Mg3 0.747 0.403 0.000
Mg4 0.753 0.903 0.000
Ni1 0.217 0.362 0.500
Ni2 0.283 0.862 0.500
Ni3 0.717 0.138 0.500
Ni4 0.783 0.638 0.500
O1 0.000 0.000 0.500
O2 0.169 0.679 0.500
O3 0.194 0.397 0.000
O4 0.306 0.897 0.000
O5 0.331 0.179 0.500
O6 0.500 0.500 0.500
O7 0.669 0.821 0.500
O8 0.694 0.103 0.000
O9 0.806 0.603 0.000
O10 0.831 0.321 0.500

Principal peaks in the range 2θ = 5–70°, sorted by position:
| two_theta | Rel. int. | hkl |
| --- | --- | --- |
| 23.9 | 27 | 0 0 1 |
| 25.0 | 38 | 1 2 0 |
| 34.8 | 100 | 0 4 0 |
| 36.5 | 37 | 2 0 0 |
| 48.8 | 26 | 0 0 2 |
| 51.3 | 25 | 2 4 0 |
| 59.3 | 11 | 0 6 1 |
| 61.4 | 12 | 0 4 2 |
| 62.5 | 28 | 2 0 2 |
| 64.6 | 14 | 3 2 1 |



2.
# Li9Mn2Co5O16
Theoretical X-ray powder pattern, Cu Kα. Input: DFT lattice parameters and positions (GGA+U).
Peak positions follow from Bragg's law for the DFT cell and can differ from measured ones.

Structural model:
Cell lengths 6.568, 6.652, 7.732 Å; angles 74.95, 65.46, 71.61 degrees
Positions (direct):
Li1 0.000 0.000 0.000
Li2 0.062 0.438 0.812
Li3 0.125 0.868 0.626
Li4 0.242 0.750 0.253
Li5 0.373 0.618 0.874
Li6 0.489 0.499 0.513
Li7 0.633 0.372 0.119
Li8 0.753 0.249 0.748
Li9 0.878 0.122 0.376
Mn1 0.563 0.935 0.313
Mn2 0.684 0.808 0.940
Co1 0.186 0.311 0.440
Co2 0.295 0.195 0.060
Co3 0.427 0.074 0.690
Co4 0.821 0.680 0.569
Co5 0.942 0.558 0.186
O1 0.002 0.716 0.928
O2 0.112 0.154 0.702
O3 0.139 0.590 0.528
O4 0.241 0.030 0.341
O5 0.273 0.455 0.166
O6 0.361 0.911 0.963
O7 0.411 0.326 0.785
O8 0.488 0.789 0.576
O9 0.529 0.196 0.403
O10 0.598 0.678 0.211
O11 0.640 0.070 0.045
O12 0.712 0.557 0.850
O13 0.764 0.955 0.678
O14 0.851 0.415 0.458
O15 0.882 0.840 0.289
O16 0.980 0.276 0.098

Principal peaks in the range 2θ = 5–70°, sorted by position:
| two_theta | Rel. int. | hkl |
| --- | --- | --- |
| 18.2 | 100 | 1 1 0 |
| 35.7 | 15 | 0 2 2 |
| 36.1 | 26 | 2 -1 1 |
| 37.6 | 8 | 1 -2 1 |
| 43.1 | 28 | 1 3 2 |
| 43.6 | 27 | 0 1 -3 |
| 43.8 | 27 | 3 0 1 |
| 47.6 | 9 | 3 2 3 |
| 62.6 | 8 | 1 4 -1 |
| 63.4 | 15 | 1 2 5 |



3.
# MgV4O8
Theoretical X-ray powder pattern, Cu Kα. Input: DFT lattice parameters and positions (GGA+U).
Peak positions follow from Bragg's law for the DFT cell and can differ from measured ones.

Structural model:
Cell lengths 3.053, 5.131, 9.272 Å; angles 88.63, 89.87, 89.92 degrees
Positions (direct):
Mg1 0.000 0.000 0.000
V1 0.490 0.885 0.433
V2 0.496 0.494 0.923
V3 0.981 0.010 0.695
V4 0.994 0.391 0.224
O1 0.485 0.151 0.591
O2 0.489 0.856 0.834
O3 0.493 0.565 0.308
O4 0.497 0.216 0.088
O5 0.988 0.751 0.560
O6 0.992 0.083 0.327
O7 0.995 0.295 0.833
O8 0.995 0.629 0.054

Principal peaks in the range 2θ = 5–70°, sorted by position:
| two_theta | Rel. int. | hkl |
| --- | --- | --- |
| 19.6 | 76 | 0 1 1 |
| 20.0 | 100 | 0 1 -1 |
| 26.2 | 37 | 0 1 -2 |
| 33.5 | 46 | 0 1 3 |
| 34.2 | 39 | 0 1 -3 |
| 35.2 | 68 | 1 0 2 |
| 35.4 | 29 | -1 1 1 |
| 35.7 | 31 | 1 1 -1 |
| 60.7 | 39 | 2 0 0 |
| 62.2 | 32 | 1 3 0 |